Structure and theoretical powder diffractogram of LiCu5P2O8 (the GGA-PBE geometry in the Materials Project; a wavelength of 1.5418 Å).

Cell lengths 5.6209, 6.2328, 10.3015 Å; angles 89.48, 88.27, 88.20 degrees
Space group P1 (No. 1)
Symmetry-distinct sites (fractional):
Li (0.0000, 0.0000, 0.0000) [1 per cell]
Li (0.4495, 0.7598, 0.4961) [1 per cell]
Cu (0.0542, 0.2688, 0.2590) [1 per cell]
Cu (0.0567, 0.2537, 0.7461) [1 per cell]
Cu (0.5659, 0.7512, 0.0135) [1 per cell]
Cu (0.6433, 0.9728, 0.2330) [1 per cell]
Cu (0.6764, 0.5192, 0.2300) [1 per cell]
Cu (0.6830, 0.4899, 0.7434) [1 per cell]
Cu (0.6884, 0.0296, 0.7317) [1 per cell]
Cu (0.9451, 0.4544, 0.5205) [1 per cell]
Cu (0.9592, 0.5109, 0.0158) [1 per cell]
Cu (0.9597, 0.0432, 0.5201) [1 per cell]
P (0.1434, 0.7631, 0.2461) [1 per cell]
P (0.1643, 0.7568, 0.7454) [1 per cell]
P (0.4681, 0.2441, 0.9825) [1 per cell]
P (0.4850, 0.2606, 0.4794) [1 per cell]
O (0.0075, 0.5689, 0.3071) [1 per cell]
O (0.0258, 0.9527, 0.8107) [1 per cell]
O (0.0317, 0.5577, 0.8036) [1 per cell]
O (0.1425, 0.7644, 0.5955) [1 per cell]
O (0.1551, 0.7531, 0.0959) [1 per cell]
O (0.2119, 0.2347, 0.0394) [1 per cell]
O (0.2289, 0.2629, 0.5390) [1 per cell]
O (0.3929, 0.7629, 0.3061) [1 per cell]
O (0.4275, 0.7530, 0.7846) [1 per cell]
O (0.4686, 0.2531, 0.8322) [1 per cell]
O (0.4879, 0.2621, 0.3297) [1 per cell]
O (0.5937, 0.4449, 0.0359) [1 per cell]
O (0.5987, 0.4695, 0.5307) [1 per cell]
O (0.6030, 0.0458, 0.5309) [1 per cell]
O (0.6324, 0.0504, 0.0291) [1 per cell]
O (0.9963, 0.9679, 0.2923) [1 per cell]

Principal peaks in the range 5 to 70 degrees two-theta, most intense first:
34.9°, rel. 100.0, (0 0 4)
31.9°, rel. 41.4, (2 0 0)
32.4°, rel. 40.3, (1 2 0)
36.6°, rel. 38.4, (1 2 2)
37.6°, rel. 37.7, (1 -2 2)
33.3°, rel. 37.3, (1 -2 0)
15.8°, rel. 33.2, (1 0 0)
37.9°, rel. 31.2, (-1 2 2)
36.0°, rel. 27.8, (2 0 2)
37.3°, rel. 26.6, (1 2 -2)
36.9°, rel. 22.7, (2 0 -2)
38.9°, rel. 20.1, (1 0 -4)